1.
K2In12Au: theoretical powder diffraction line list (CuKα), based on DFT lattice parameters and positions (GGA-PBE).

Atomic structure:
abc: 6.9264 6.9264 18.2848
angles: 90.00 90.00 90.00
Element x y z (fractional)
K  0.2500  0.7500  0.2504
K  0.2500  0.7500  0.7496
K  0.7500  0.2500  0.2504
K  0.7500  0.2500  0.7496
In  0.9999  0.0001  0.0865
In  0.0001  0.9999  0.9135
In  0.0001  0.5001  0.0865
In  0.9999  0.4999  0.9135
In  0.0832  0.5832  0.4320
In  0.0832  0.9168  0.5680
In  0.2500  0.2500  0.1828
In  0.2500  0.2500  0.3429
In  0.2500  0.2500  0.6571
In  0.2500  0.2500  0.8172
In  0.4168  0.5832  0.5680
In  0.4168  0.9168  0.4320
In  0.4999  0.9999  0.0865
In  0.5001  0.0001  0.9135
In  0.5001  0.4999  0.0865
In  0.4999  0.5001  0.9135
In  0.5832  0.0832  0.5680
In  0.5832  0.4168  0.4320
In  0.7500  0.7500  0.1828
In  0.7500  0.7500  0.3429
In  0.7500  0.7500  0.6571
In  0.7500  0.7500  0.8172
In  0.9168  0.0832  0.4320
In  0.9168  0.4168  0.5680
Au  0.2500  0.7500  0.0000
Au  0.7500  0.2500  0.0000

Peak list (8 most intense, 2θ = 5–70°, by intensity)
2θ (°)  d_spacing  intensity
39.39  2.288  100
36.70  2.449  72
9.67  9.142  68
20.57  4.317  67
27.54  3.239  45
32.43  2.761  43
26.68  3.342  39
35.71  2.515  37

2.
K3InAu2: theoretical powder diffraction line list (CuKα), based on DFT lattice parameters and positions (GGA-PBE).

Atomic structure:
abc: 8.5884 8.5884 8.5884
angles: 63.48 63.48 63.48
Element x y z (fractional)
K  0.0275  0.7500  0.4725
K  0.2500  0.5275  0.9725
K  0.4725  0.0275  0.7500
K  0.5275  0.9725  0.2500
K  0.7500  0.4725  0.0275
K  0.9725  0.2500  0.5275
In  0.0000  0.0000  0.0000
In  0.5000  0.5000  0.5000
Au  0.1349  0.1349  0.1349
Au  0.3651  0.3651  0.3651
Au  0.6349  0.6349  0.6349
Au  0.8651  0.8651  0.8651

Peak list (8 most intense, 2θ = 5–70°, by intensity)
2θ (°)  d_spacing  intensity
19.65  4.518  100
34.38  2.609  43
32.90  2.722  27
36.97  2.432  24
20.74  4.283  23
46.96  1.935  20
35.04  2.561  20
39.91  2.259  18

3.
K3InAu8: theoretical powder diffraction line list (CuKα), based on DFT lattice parameters and positions (GGA-PBE).

Atomic structure:
abc: 9.9214 9.9214 9.9214
angles: 34.06 34.06 34.06
Element x y z (fractional)
K  0.0000  0.0000  0.0000
K  0.1256  0.1256  0.1256
K  0.6254  0.6254  0.6254
In  0.5013  0.5013  0.5013
Au  0.0621  0.0621  0.5594
Au  0.0621  0.5594  0.0621
Au  0.0686  0.5632  0.5632
Au  0.3128  0.3128  0.3128
Au  0.5594  0.0621  0.0621
Au  0.5632  0.0686  0.5632
Au  0.5632  0.5632  0.0686
Au  0.8130  0.8130  0.8130

Peak list (8 most intense, 2θ = 5–70°, by intensity)
2θ (°)  d_spacing  intensity
38.00  2.368  100
18.74  4.736  86
36.42  2.467  82
44.33  2.043  47
36.27  2.477  42
36.72  2.448  40
38.57  2.334  31
64.09  1.453  28

4.
K3In3Au8: theoretical powder diffraction line list (CuKα), based on DFT lattice parameters and positions (GGA-PBE).

Atomic structure:
abc: 9.0100 9.0100 9.0100
angles: 148.67 111.82 76.95
Element x y z (fractional)
K  0.0000  0.0000  0.0000
K  0.2926  0.2926  0.0000
K  0.7074  0.7074  0.0000
In  0.2797  0.5000  0.7797
In  0.5000  0.0000  0.5000
In  0.7203  0.5000  0.2203
Au  0.0297  0.6696  0.3601
Au  0.1549  0.8679  0.2870
Au  0.3095  0.6696  0.6399
Au  0.4192  0.1321  0.2870
Au  0.5808  0.8679  0.7130
Au  0.6905  0.3304  0.3601
Au  0.8451  0.1321  0.7130
Au  0.9703  0.3304  0.6399

Peak list (8 most intense, 2θ = 5–70°, by intensity)
2θ (°)  d_spacing  intensity
31.85  2.810  100
36.95  2.433  98
17.56  5.050  97
20.26  4.384  82
32.34  2.769  78
41.46  2.178  63
44.80  2.023  63
34.81  2.577  51

5.
K2In5Au3: theoretical powder diffraction line list (CuKα), based on DFT lattice parameters and positions (GGA-PBE).

Atomic structure:
abc: 9.6335 9.6335 9.6335
angles: 105.99 89.46 137.21
Element x y z (fractional)
K  0.1299  0.2493  0.3792
K  0.3701  0.7493  0.1195
K  0.6299  0.2507  0.8805
K  0.8701  0.7507  0.6208
In  0.0007  0.7500  0.2507
In  0.1110  0.6384  0.7494
In  0.2500  0.2500  0.0000
In  0.3890  0.1384  0.5274
In  0.4993  0.7500  0.7493
In  0.5007  0.2500  0.2507
In  0.6110  0.8616  0.4726
In  0.7500  0.7500  0.0000
In  0.8890  0.3616  0.2506
In  0.9993  0.2500  0.7493
Au  0.1245  0.8765  0.0011
Au  0.2500  0.7500  0.5000
Au  0.3755  0.3765  0.7520
Au  0.6245  0.6235  0.2480
Au  0.7500  0.2500  0.5000
Au  0.8755  0.1235  0.9989

Peak list (8 most intense, 2θ = 5–70°, by intensity)
2θ (°)  d_spacing  intensity
36.66  2.452  100
19.66  4.516  82
40.33  2.236  59
40.79  2.212  55
29.42  3.036  55
15.28  5.798  50
29.73  3.005  50
30.33  2.947  47

6.
K3In9Au2: theoretical powder diffraction line list (CuKα), based on DFT lattice parameters and positions (GGA-PBE).

Atomic structure:
abc: 9.4754 9.4754 9.4754
angles: 150.14 104.33 83.41
Element x y z (fractional)
K  0.0000  0.0000  0.0000
K  0.3181  0.3181  0.0000
K  0.6819  0.6819  0.0000
In  0.0388  0.6749  0.3638
In  0.1619  0.8807  0.2811
In  0.3111  0.6749  0.6362
In  0.4004  0.1193  0.2811
In  0.5000  0.0000  0.5000
In  0.5996  0.8807  0.7189
In  0.6889  0.3251  0.3638
In  0.8381  0.1193  0.7189
In  0.9612  0.3251  0.6362
Au  0.2628  0.5000  0.7628
Au  0.7372  0.5000  0.2372

Peak list (8 most intense, 2θ = 5–70°, by intensity)
2θ (°)  d_spacing  intensity
30.51  2.930  100
15.24  5.812  76
39.98  2.255  69
36.81  2.442  54
36.71  2.448  46
19.74  4.498  42
40.89  2.207  41
33.33  2.688  34

7.
K4InAu4: theoretical powder diffraction line list (CuKα), based on DFT lattice parameters and positions (GGA-PBE).

Atomic structure:
abc: 8.5227 8.5227 8.5227
angles: 131.38 131.38 71.21
Element x y z (fractional)
K  0.0714  0.6466  0.0000
K  0.3534  0.3534  0.4249
K  0.6466  0.0714  0.0000
K  0.9286  0.9286  0.5751
In  0.5000  0.5000  0.0000
Au  0.1555  0.1555  0.5395
Au  0.3840  0.8445  0.0000
Au  0.6160  0.6160  0.4605
Au  0.8445  0.3840  0.0000

Peak list (8 most intense, 2θ = 5–70°, by intensity)
2θ (°)  d_spacing  intensity
22.03  4.034  100
36.45  2.465  72
25.39  3.508  59
42.79  2.113  37
36.21  2.481  36
25.71  3.465  29
44.94  2.017  21
14.15  6.260  20

8.
K5InAu4: theoretical powder diffraction line list (CuKα), based on DFT lattice parameters and positions (GGA-PBE).

Atomic structure:
abc: 7.9942 10.2682 8.5822
angles: 90.00 90.00 90.00
Element x y z (fractional)
K  0.0104  0.0510  0.2217
K  0.0104  0.4490  0.2217
K  0.2500  0.7500  0.4336
K  0.4896  0.0510  0.2217
K  0.4896  0.4490  0.2217
K  0.5104  0.5510  0.7783
K  0.5104  0.9490  0.7783
K  0.7500  0.2500  0.5664
K  0.9896  0.5510  0.7783
K  0.9896  0.9490  0.7783
In  0.2500  0.2500  0.8382
In  0.7500  0.7500  0.1618
Au  0.0813  0.7500  0.0742
Au  0.2500  0.1099  0.5403
Au  0.2500  0.3901  0.5403
Au  0.4187  0.7500  0.0742
Au  0.5813  0.2500  0.9258
Au  0.7500  0.6099  0.4597
Au  0.7500  0.8901  0.4597
Au  0.9187  0.2500  0.9258

Peak list (8 most intense, 2θ = 5–70°, by intensity)
2θ (°)  d_spacing  intensity
17.45  5.083  100
13.45  6.585  85
24.57  3.623  77
20.15  4.406  66
44.36  2.042  62
32.49  2.756  50
34.78  2.579  50
36.54  2.459  47